(1)
# Ba2IrO5
Calculated powder X-ray diffraction pattern, a wavelength of 1.5418 Å. Input: a PBE-relaxed structure.
Kinematic intensities with the Lorentz-polarization factor, no thermal factor.

Crystal structure
Lattice parameters (Å, degrees): 7.481 5.760 11.721 90.00 90.00 90.00
Space group Pnma (No. 62)
Unique sites:
Ba 0.022 0.250 0.211 x4
Ba 0.165 0.750 0.420 x4
Ir 0.171 0.750 0.062 x4
O 0.000 0.000 0.000 x4
O 0.031 0.750 0.198 x4
O 0.177 0.008 0.616 x8
O 0.213 0.250 0.410 x4

Top 10 peaks for 2θ from 10° to 90°, in order of rising 2θ:
two_theta, intensity, (hkl)
27.59, 100, 0 1 3
28.30, 33, 2 0 2
28.45, 36, 2 1 0
29.47, 34, 2 1 1
31.05, 49, 0 2 0
32.37, 36, 2 1 2
33.16, 21, 2 0 3
40.28, 25, 1 0 5
42.51, 27, 2 2 2
46.06, 23, 2 2 3

(2)
# Ba6Ir3O14
Calculated powder X-ray diffraction pattern, a wavelength of 1.5418 Å. Input: a PBE-relaxed structure.
Kinematic intensities with the Lorentz-polarization factor, no thermal factor.

Crystal structure
Lattice parameters (Å, degrees): 9.4473 9.4473 5.7395 90.00 90.00 120.00
Space group P3 (No. 143)
Unique sites:
Ba 0.0118 0.5696 0.0000 x3
Ba 0.2948 0.0662 0.5182 x3
Ir 0.0000 0.0000 0.9692 x1
Ir 0.3333 0.6667 0.4286 x1
Ir 0.6667 0.3333 0.3428 x1
O 0.0000 0.0000 0.2884 x1
O 0.0440 0.8505 0.8054 x3
O 0.1986 0.4675 0.2661 x3
O 0.3333 0.6667 0.7460 x1
O 0.4713 0.2018 0.1429 x3
O 0.5293 0.3921 0.5339 x3

Top 10 peaks for 2θ from 10° to 90°, in order of rising 2θ:
two_theta, intensity, (hkl)
18.79, 19, 1 1 0
18.89, 21, 1 0 1
24.41, 45, 2 -1 1
26.76, 100, 0 2 1
28.87, 16, 1 2 0
31.17, 16, 0 0 2
32.87, 39, 3 0 0
38.10, 17, 2 2 0
51.19, 26, 5 -2 1
72.10, 17, 2 5 0

(3)
# Ba4IrO6
Calculated powder X-ray diffraction pattern, a wavelength of 1.5418 Å. Input: a PBE-relaxed structure.
Kinematic intensities with the Lorentz-polarization factor, no thermal factor.

Crystal structure
Lattice parameters (Å, degrees): 10.3872 10.3872 12.7859 90.00 90.00 120.00
Space group R-3c (No. 167, hexagonal axes)
Unique sites:
Ba 0.0000 0.0000 0.2500 x6
Ba 0.0000 0.3682 0.2500 x18
Ir 0.0000 0.0000 0.0000 x6
O 0.0220 0.1763 0.4063 x36

Top 10 peaks for 2θ from 10° to 90°, in order of rising 2θ:
two_theta, intensity, (hkl)
17.05, 38, 1 1 0
27.07, 62, 1 1 3
29.80, 100, 3 0 0
34.42, 31, 0 2 4
38.68, 40, 2 1 4
40.69, 28, 2 2 3
46.20, 14, 1 3 4
52.83, 43, 3 3 0
61.87, 14, 6 0 0
80.56, 14, 3 5 4

(4)
# Ba2IrOsO6
Calculated powder X-ray diffraction pattern, a wavelength of 1.5418 Å. Input: a PBE-relaxed structure.
Kinematic intensities with the Lorentz-polarization factor, no thermal factor.

Crystal structure
Lattice parameters (Å, degrees): 5.8384 5.8384 29.0886 90.00 90.00 120.00
Space group R-3m (No. 166, hexagonal axes)
Unique sites:
Ba 0.0000 0.0000 0.1247 x6
Ba 0.0000 0.0000 0.2878 x6
Ir 0.0000 0.0000 0.4114 x6
Os 0.0000 0.0000 0.0000 x3
Os 0.0000 0.0000 0.5000 x3
O 0.0115 0.5057 0.7063 x18
O 0.0190 0.5095 0.1224 x18

Top 10 peaks for 2θ from 10° to 90°, in order of rising 2θ:
two_theta, intensity, (hkl)
18.58, 27, 0 1 2
27.79, 40, 1 0 7
30.28, 13, 0 1 8
30.63, 100, 1 1 0
35.61, 31, 1 0 10
41.82, 22, 0 2 7
47.66, 20, 0 2 10
54.44, 20, 3 0 0
57.72, 16, 2 1 10
63.76, 17, 2 2 0